# Mo13O33
Theoretical PXRD pattern, Cu Kα X-rays. Input: a cell relaxed with GGA+U.
Kinematic intensities with the Lorentz-polarization factor, no thermal factor.

The 6 most intense peaks (10 to 80 degrees two-theta), in order of rising 2θ:
2θ/deg  I_rel
23.24  79
24.63  100
25.18  74
30.68  25
32.71  25
46.33  25

Structure:
a b c (Å): 3.9196 11.3650 15.0243
angles (deg): 93.44 97.46 99.92
Fractional positions:
Mo (0.0000, 0.0000, 0.0000)
Mo (0.0012, 0.1155, 0.7639)
Mo (0.1214, 0.5372, 0.6135)
Mo (0.1322, 0.9208, 0.2472)
Mo (0.1980, 0.4447, 0.8551)
Mo (0.2706, 0.3479, 0.0960)
Mo (0.3390, 0.2525, 0.3405)
Mo (0.7007, 0.8742, 0.4233)
Mo (0.7634, 0.7763, 0.6673)
Mo (0.7714, 0.5638, 0.3820)
Mo (0.8327, 0.6685, 0.9061)
Mo (0.9018, 0.2035, 0.5162)
Mo (0.9194, 0.5878, 0.1504)
O (0.0116, 0.3876, 0.5596)
O (0.0157, 0.7394, 0.1986)
O (0.0244, 0.0621, 0.8903)
O (0.0882, 0.5978, 0.4816)
O (0.0961, 0.9656, 0.1285)
O (0.0979, 0.2794, 0.8087)
O (0.1617, 0.4938, 0.7340)
O (0.1687, 0.1939, 0.0601)
O (0.1748, 0.8747, 0.3885)
O (0.2338, 0.7275, 0.6527)
O (0.2375, 0.4036, 0.9748)
O (0.2410, 0.0957, 0.2969)
O (0.3110, 0.6310, 0.8985)
O (0.3190, 0.3114, 0.2309)
O (0.3907, 0.5383, 0.1460)
O (0.3956, 0.2213, 0.4812)
O (0.4593, 0.4350, 0.3984)
O (0.4868, 0.1037, 0.7572)
O (0.5572, 0.0150, 0.0117)
O (0.5742, 0.6935, 0.3663)
O (0.6417, 0.9072, 0.2825)
O (0.6483, 0.5879, 0.6188)
O (0.7096, 0.8174, 0.5336)
O (0.7223, 0.4870, 0.8620)
O (0.7880, 0.0416, 0.4620)
O (0.8008, 0.7214, 0.7901)
O (0.8023, 0.3974, 0.1108)
O (0.8616, 0.2584, 0.3759)
O (0.8709, 0.9304, 0.7064)
O (0.8756, 0.6275, 0.0269)
O (0.9343, 0.8438, 0.9576)
O (0.9576, 0.5306, 0.2824)
O (0.9594, 0.1695, 0.6304)